GePbO2: theoretical X-ray powder pattern (λ = 1.5418 Å (Cu Kα)), based on the PBE geometry in Alexandria.
No peak broadening, texture or thermal motion is included.

Crystal structure
Cell: 3.1862 3.1862 21.2804 Å, 90.00 90.00 120.00°
Positions (direct):
Ge: 0.0000 0.0000 0.0000
Ge: 0.3333 0.6667 0.6667
Ge: 0.6667 0.3333 0.3333
Pb: 0.0000 0.0000 0.5000
Pb: 0.3333 0.6667 0.1667
Pb: 0.6667 0.3333 0.8333
O: 0.0000 0.0000 0.3790
O: 0.0000 0.0000 0.6210
O: 0.3333 0.6667 0.0457
O: 0.3333 0.6667 0.2876
O: 0.6667 0.3333 0.7124
O: 0.6667 0.3333 0.9543

Largest 10 diffraction maxima, sorted by position, 2θ = 10–90°:
2θ = 12.5°, d 7.093, intensity 42
2θ = 25.1°, d 3.547, intensity 66
2θ = 32.7°, d 2.736, intensity 32
2θ = 33.6°, d 2.671, intensity 100
2θ = 36.7°, d 2.449, intensity 61
2θ = 47.5°, d 1.915, intensity 46
2θ = 54.4°, d 1.685, intensity 27
2θ = 57.9°, d 1.593, intensity 25
2θ = 64.1°, d 1.453, intensity 30
2θ = 81.2°, d 1.185, intensity 14

---

Sm3TmSc7: theoretical X-ray powder pattern (λ = 1.5418 Å (Cu Kα)), based on the PBE geometry in Alexandria.
No peak broadening, texture or thermal motion is included.

Crystal structure
Cell: 7.9920 7.9920 7.9920 Å, 139.82 98.08 95.48°
Positions (direct):
Sm: 0.0000 0.0000 0.0000
Sm: 0.2153 0.5000 0.7153
Sm: 0.7847 0.5000 0.2847
Tm: 0.5000 0.0000 0.5000
Sc: 0.0248 0.2168 0.8081
Sc: 0.2082 0.7082 0.5000
Sc: 0.4087 0.2168 0.1919
Sc: 0.5000 0.5000 0.0000
Sc: 0.5913 0.7832 0.8081
Sc: 0.7918 0.2918 0.5000
Sc: 0.9752 0.7832 0.1919

Largest 10 diffraction maxima, sorted by position, 2θ = 10–90°:
2θ = 16.5°, d 5.375, intensity 46
2θ = 24.9°, d 3.575, intensity 100
2θ = 32.6°, d 2.745, intensity 45
2θ = 33.3°, d 2.687, intensity 34
2θ = 34.2°, d 2.620, intensity 20
2θ = 34.4°, d 2.604, intensity 85
2θ = 34.7°, d 2.584, intensity 33
2θ = 47.3°, d 1.920, intensity 25
2θ = 59.4°, d 1.556, intensity 17
2θ = 65.6°, d 1.423, intensity 16

---

Nd6HoMg5: theoretical X-ray powder pattern (λ = 1.5418 Å (Cu Kα)), based on the PBE geometry in Alexandria.
No peak broadening, texture or thermal motion is included.

Crystal structure
Cell: 5.5302 7.8124 8.8026 Å, 90.00 108.35 90.00°
Positions (direct):
Nd: 0.0000 0.2395 0.0000
Nd: 0.0000 0.7605 0.0000
Nd: 0.3320 0.2478 0.6599
Nd: 0.3320 0.7522 0.6599
Nd: 0.6680 0.2478 0.3401
Nd: 0.6680 0.7522 0.3401
Ho: 0.5000 0.5000 0.0000
Mg: 0.1590 0.5000 0.3228
Mg: 0.1642 0.0000 0.3341
Mg: 0.5000 0.0000 0.0000
Mg: 0.8358 0.0000 0.6659
Mg: 0.8410 0.5000 0.6772

Largest 10 diffraction maxima, sorted by position, 2θ = 10–90°:
2θ = 22.7°, d 3.924, intensity 24
2θ = 22.8°, d 3.906, intensity 12
2θ = 32.1°, d 2.785, intensity 20
2θ = 32.3°, d 2.768, intensity 100
2θ = 46.3°, d 1.962, intensity 15
2θ = 52.3°, d 1.749, intensity 8
2θ = 57.4°, d 1.605, intensity 15
2θ = 57.7°, d 1.598, intensity 23
2θ = 57.8°, d 1.595, intensity 7
2θ = 67.7°, d 1.384, intensity 9

---

Li4Cd2In: theoretical X-ray powder pattern (λ = 1.5418 Å (Cu Kα)), based on the PBE geometry in Alexandria.
No peak broadening, texture or thermal motion is included.

Crystal structure
Cell: 7.1653 7.1653 7.1653 Å, 109.50 109.50 109.41°
Positions (direct):
Li: 0.1279 0.7144 0.7454
Li: 0.1325 0.2190 0.7546
Li: 0.2856 0.0310 0.4135
Li: 0.4644 0.3779 0.2454
Li: 0.6175 0.8721 0.5865
Li: 0.6221 0.8675 0.0865
Li: 0.7810 0.5356 0.9135
Li: 0.9690 0.3825 0.2546
Cd: 0.2468 0.6250 0.1218
Cd: 0.3750 0.4968 0.6218
Cd: 0.5032 0.1250 0.8782
Cd: 0.8750 0.7532 0.3782
In: 0.0000 0.0000 0.0000
In: 0.7500 0.2500 0.5000

Largest 10 diffraction maxima, sorted by position, 2θ = 10–90°:
2θ = 26.4°, d 3.378, intensity 100
2θ = 30.6°, d 2.925, intensity 11
2θ = 34.3°, d 2.616, intensity 41
2θ = 40.8°, d 2.211, intensity 25
2θ = 49.3°, d 1.850, intensity 25
2θ = 51.8°, d 1.764, intensity 16
2θ = 56.7°, d 1.623, intensity 23
2θ = 70.1°, d 1.342, intensity 19
2θ = 74.3°, d 1.277, intensity 8
2θ = 86.4°, d 1.126, intensity 12

---

Tb2PuCd6: theoretical X-ray powder pattern (λ = 1.5418 Å (Cu Kα)), based on the PBE geometry in Alexandria.
No peak broadening, texture or thermal motion is included.

Crystal structure
Cell: 8.7779 8.7779 3.2981 Å, 90.00 90.00 120.00°
Positions (direct):
Tb: 0.3333 0.6667 0.0000
Tb: 0.6667 0.3333 0.0000
Pu: 0.0000 0.0000 0.0000
Cd: 0.0000 0.3350 0.5000
Cd: 0.0000 0.6650 0.5000
Cd: 0.3350 0.0000 0.5000
Cd: 0.3350 0.3350 0.5000
Cd: 0.6650 0.0000 0.5000
Cd: 0.6650 0.6650 0.5000

Largest 10 diffraction maxima, sorted by position, 2θ = 10–90°:
2θ = 20.2°, d 4.389, intensity 9
2θ = 34.0°, d 2.637, intensity 100
2θ = 35.4°, d 2.534, intensity 86
2θ = 49.9°, d 1.827, intensity 34
2θ = 62.7°, d 1.482, intensity 34
2θ = 63.6°, d 1.463, intensity 15
2θ = 67.8°, d 1.382, intensity 25
2θ = 75.0°, d 1.267, intensity 9
2θ = 84.9°, d 1.142, intensity 15
2θ = 89.6°, d 1.094, intensity 13